Record 1
# V3OF11
Theoretical powder diffraction line list, Cu Kα. Input: a DFT-relaxed cell (PBE+U, the Materials Project).
Kinematic intensities with the Lorentz-polarization factor, no thermal factor.

Principal peaks in the range 2θ = 5–70°, in order of rising 2θ:
Position (°2θ), I_rel, (hkl)
18.16, 568, 0 0 3
25.21, 1000, 1 1 1
32.82, 90, 2 0 -1
36.79, 82, 0 0 6
39.13, 106, 1 2 -2
40.72, 72, 0 1 6
41.52, 68, 2 1 2
48.03, 164, 2 2 -1
51.84, 65, 2 2 -4
52.79, 93, 1 1 -8
54.11, 74, 3 1 0
55.85, 75, 1 3 1

Cell: 5.458 5.262 14.894 Å, 90.00 100.22 90.00°
Space group P2_1 (No. 4)
Unique sites:
V: 0.094 0.000 0.166
V: 0.250 0.492 0.500
V: 0.377 0.017 0.830
O: 0.126 0.198 0.811
F: 0.036 0.904 0.050
F: 0.060 0.794 0.525
F: 0.121 0.068 0.284
F: 0.208 0.578 0.384
F: 0.220 0.705 0.857
F: 0.278 0.285 0.143
F: 0.291 0.405 0.616
F: 0.385 0.900 0.719
F: 0.393 0.782 0.191
F: 0.440 0.190 0.476
F: 0.478 0.063 0.949

Record 2
# NaMgMnO2
Theoretical powder diffraction line list, Cu Kα. Input: a DFT-relaxed cell (PBE+U, the Materials Project).
Kinematic intensities with the Lorentz-polarization factor, no thermal factor.

Principal peaks in the range 2θ = 5–70°, in order of rising 2θ:
Position (°2θ), I_rel, (hkl)
22.54, 609, 1 1 0
24.46, 1000, 1 1 -1
30.11, 207, 2 0 0
30.32, 213, 0 0 2
33.95, 516, 0 2 0
35.76, 355, 2 0 -2
41.82, 119, 1 1 2
46.01, 131, 2 2 0
46.16, 143, 0 2 2
49.83, 154, 2 0 2
50.12, 356, 2 2 -2
61.67, 147, 2 2 2

Cell: 6.235 5.281 6.193 Å, 90.00 107.83 90.00°
Space group C2 (No. 5)
Unique sites:
Na: 0.000 0.000 0.000
Mg: 0.000 0.500 0.000
Mn: 0.000 0.999 0.500
O: 0.215 0.000 0.793

Record 3
# Li7Co5O12
Theoretical powder diffraction line list, Cu Kα. Input: a DFT-relaxed cell (PBE+U, the Materials Project).
Kinematic intensities with the Lorentz-polarization factor, no thermal factor.

Principal peaks in the range 2θ = 5–70°, in order of rising 2θ:
Position (°2θ), I_rel, (hkl)
9.50, 106, 0 0 1
12.44, 133, 0 1 0
18.38, 1000, 0 1 -2
35.12, 168, 1 1 0
35.66, 157, 1 -2 0
37.19, 102, 0 2 2
42.24, 311, 1 2 -2
43.18, 284, 1 -3 2
45.37, 237, 0 1 4
61.82, 83, 2 -1 0
62.16, 81, 0 5 -4
63.21, 77, 1 1 -6

Cell: 3.002 7.813 10.069 Å, 111.87 90.80 99.93°
Space group P-1 (No. 2)
Unique sites:
Li: 0.000 0.000 0.000
Li: 0.164 0.333 0.415
Li: 0.166 0.335 0.921
Li: 0.499 0.999 0.756
Co: 0.000 0.000 0.500
Co: 0.337 0.665 0.331
Co: 0.342 0.681 0.838
O: 0.053 0.179 0.205
O: 0.080 0.165 0.701
O: 0.241 0.505 0.641
O: 0.287 0.496 0.136
O: 0.408 0.814 0.022
O: 0.426 0.830 0.530

Record 4
# MgFe2B2O6
Theoretical powder diffraction line list, Cu Kα. Input: a DFT-relaxed cell (PBE+U, the Materials Project).
Kinematic intensities with the Lorentz-polarization factor, no thermal factor.

Principal peaks in the range 2θ = 5–70°, in order of rising 2θ:
Position (°2θ), I_rel, (hkl)
19.31, 1000, 1 1 0
20.68, 1000, 2 0 0
26.94, 435, 1 1 1
29.32, 187, 2 0 1
32.92, 295, 0 2 0
40.77, 401, 1 1 2
43.40, 265, 2 0 2
47.47, 279, 0 2 2
47.94, 217, 4 0 -2
48.92, 374, 2 2 -2
54.44, 223, 4 2 0
55.53, 207, 2 2 2

Cell: 8.809 5.441 5.533 Å, 90.00 102.83 90.00°
Space group C2/m (No. 12)
Unique sites:
Mg: 0.000 0.000 0.000
Fe: 0.000 0.500 0.000
Fe: 0.000 0.500 0.500
B: 0.177 0.000 0.741
O: 0.099 0.216 0.784
O: 0.177 0.500 0.305

Record 5
# AlV2O4
Theoretical powder diffraction line list, Cu Kα. Input: a DFT-relaxed cell (PBE+U, the Materials Project).
Kinematic intensities with the Lorentz-polarization factor, no thermal factor.

Principal peaks in the range 2θ = 5–70°, in order of rising 2θ:
Position (°2θ), I_rel, (hkl)
29.63, 379, 1 1 2
30.43, 183, 0 2 0
34.23, 431, 0 1 3
35.74, 1000, 2 1 1
41.11, 94, 0 0 4
43.65, 185, 2 2 0
52.07, 87, 2 0 4
54.54, 197, 0 1 5
57.63, 279, 2 3 1
61.51, 464, 2 2 4
63.32, 118, 0 4 0
63.56, 108, 4 0 0

Cell: 5.855 5.875 8.782 Å, 90.00 90.00 90.00°
Space group Imma (No. 74)
Unique sites:
Al: 0.000 0.000 0.000
V: 0.000 0.250 0.371
V: 0.250 0.250 0.750
O: 0.000 0.001 0.781
O: 0.222 0.250 0.992

Record 6
# LiNiCSO7
Theoretical powder diffraction line list, Cu Kα. Input: a DFT-relaxed cell (PBE+U, the Materials Project).
Kinematic intensities with the Lorentz-polarization factor, no thermal factor.

Principal peaks in the range 2θ = 5–70°, in order of rising 2θ:
Position (°2θ), I_rel, (hkl)
10.29, 1000, 0 0 1
17.14, 359, 0 1 1
19.94, 298, 1 0 -1
21.15, 356, 1 0 1
22.46, 148, 1 1 0
25.26, 146, 1 1 1
26.43, 307, 1 0 -2
27.53, 576, 0 2 0
28.28, 126, 1 0 2
35.92, 113, 2 0 0
39.82, 170, 1 1 3
45.79, 100, 1 3 0

Cell: 5.011 6.479 8.612 Å, 90.00 93.83 90.00°
Space group P2_1 (No. 4)
Unique sites:
Li: 0.220 0.000 0.278
Ni: 0.213 0.250 0.850
C: 0.273 0.257 0.570
S: 0.273 0.756 0.919
O: 0.041 0.263 0.627
O: 0.156 0.770 0.074
O: 0.167 0.573 0.832
O: 0.211 0.938 0.823
O: 0.303 0.227 0.428
O: 0.431 0.231 0.051
O: 0.471 0.278 0.673